Starting from a cell relaxed with GGA-PBE, the powder diffractogram of Pm2TlHg was calculated for Cu Kα X-rays.

Principal peaks in the range 5° ≤ 2θ ≤ 70°, by angle:
two_theta, I_rel, h k l
23.1, 26, 2 0 0
32.8, 1000, 2 2 0
40.5, 9, 2 2 2
47.1, 185, 4 0 0
53.1, 13, 4 2 0
58.6, 388, 4 2 2
68.8, 120, 4 4 0

Structural model:
```
data_Pm2TlHg
_cell_length_a 7.7166
_cell_length_b 7.7166
_cell_length_c 7.7166
_cell_angle_alpha 90.00
_cell_angle_beta 90.00
_cell_angle_gamma 90.00
_symmetry_space_group_name_H-M 'F m -3 m'
_symmetry_Int_Tables_number 225
_symmetry_space_group_name_Hall '-F 4 2 3'
loop_
_atom_site_label
_atom_site_fract_x
_atom_site_fract_y
_atom_site_fract_z
_atom_site_occupancy
Pm1 0.2500 0.2500 0.2500 1
Tl1 0.0000 0.0000 0.0000 1
Hg1 0.0000 0.0000 0.5000 1
```

=====

Starting from a cell relaxed with GGA-PBE, the powder diffractogram of GdGeIr was calculated for Cu Kα X-rays.

Principal peaks in the range 5° ≤ 2θ ≤ 70°, by angle:
two_theta, I_rel, h k l
33.8, 896, 1 1 2
34.9, 360, 2 0 2
35.0, 1000, 2 1 1
40.5, 499, 3 0 1
41.1, 704, 0 1 3
41.4, 573, 0 2 0
59.3, 328, 3 2 1
67.0, 454, 3 1 4

Structural model:
```
data_GdGeIr
_cell_length_a 6.9814
_cell_length_b 4.3638
_cell_length_c 7.6198
_cell_angle_alpha 90.00
_cell_angle_beta 90.00
_cell_angle_gamma 90.00
_symmetry_space_group_name_H-M 'P n m a'
_symmetry_Int_Tables_number 62
_symmetry_space_group_name_Hall '-P 2ac 2n'
loop_
_atom_site_label
_atom_site_fract_x
_atom_site_fract_y
_atom_site_fract_z
_atom_site_occupancy
Gd1 0.0006 0.2500 0.1931 1
Ge1 0.2056 0.7500 0.3946 1
Ir1 0.1613 0.2500 0.5697 1
```

=====

Starting from a cell relaxed with GGA-PBE, the powder diffractogram of ErPa3 was calculated for Cu Kα X-rays.

Principal peaks in the range 5° ≤ 2θ ≤ 70°, by angle:
two_theta, I_rel, h k l
18.9, 14, 1 0 0
26.8, 13, 1 1 0
33.0, 1000, 1 1 1
38.3, 505, 2 0 0
43.0, 8, 2 1 0
55.2, 357, 2 2 0
65.9, 425, 3 1 1
69.2, 123, 2 2 2

Structural model:
```
data_ErPa3
_cell_length_a 4.7038
_cell_length_b 4.7038
_cell_length_c 4.7038
_cell_angle_alpha 90.00
_cell_angle_beta 90.00
_cell_angle_gamma 90.00
_symmetry_space_group_name_H-M 'P m -3 m'
_symmetry_Int_Tables_number 221
_symmetry_space_group_name_Hall '-P 4 2 3'
loop_
_atom_site_label
_atom_site_fract_x
_atom_site_fract_y
_atom_site_fract_z
_atom_site_occupancy
Er1 0.0000 0.0000 0.0000 1
Pa1 0.0000 0.5000 0.5000 1
```

=====

Starting from a cell relaxed with GGA-PBE, the powder diffractogram of Nd2MgS4 was calculated for Cu Kα X-rays.

Principal peaks in the range 5° ≤ 2θ ≤ 70°, by angle:
two_theta, I_rel, h k l
13.3, 968, 1 1 1
25.7, 1000, 3 1 1
26.9, 258, 2 2 2
31.1, 924, 4 0 0
34.0, 269, 3 3 1
40.8, 411, 5 1 1
44.6, 840, 4 4 0
46.8, 254, 5 3 1

Structural model:
a b c (Å): 11.4919 11.4919 11.4919
angles (deg): 90.00 90.00 90.00
Space group Fd-3m (No. 227, origin choice 2)
Asymmetric unit:
Nd  0.0000  0.0000  0.0000 (multiplicity 16)
Mg  0.1250  0.1250  0.6250 (multiplicity 8)
S  0.0027  0.0027  0.2473 (multiplicity 32)

=====

Starting from a cell relaxed with GGA-PBE, the powder diffractogram of Hf5Re24 was calculated for Cu Kα X-rays.

Principal peaks in the range 5° ≤ 2θ ≤ 70°, by angle:
two_theta, I_rel, h k l
36.7, 55, 4 0 0
39.1, 1000, 4 1 1
43.4, 270, 3 3 2
45.4, 95, 4 2 2
47.4, 163, 4 3 1
63.0, 25, 6 2 2
66.2, 62, 4 4 4
67.7, 101, 5 5 0

Structural model:
```
data_Hf5Re24
_cell_length_a 9.7847
_cell_length_b 9.7847
_cell_length_c 9.7847
_cell_angle_alpha 90.00
_cell_angle_beta 90.00
_cell_angle_gamma 90.00
_symmetry_space_group_name_H-M 'I -4 3 m'
_symmetry_Int_Tables_number 217
_symmetry_space_group_name_Hall 'I -4 2 3'
loop_
_atom_site_label
_atom_site_fract_x
_atom_site_fract_y
_atom_site_fract_z
_atom_site_occupancy
Hf1 0.0000 0.0000 0.0000 1
Hf2 0.1852 0.1852 0.1852 1
Re1 0.0364 0.3591 0.6409 1
Re2 0.0909 0.0909 0.7151 1
```

=====

Starting from a cell relaxed with GGA-PBE, the powder diffractogram of Cr2Co was calculated for Cu Kα X-rays.

Principal peaks in the range 5° ≤ 2θ ≤ 70°, by angle:
two_theta, I_rel, h k l
23.6, 25, 1 1 1
39.0, 341, 2 2 0
46.0, 1000, 3 1 1
48.2, 343, 2 2 2
56.3, 25, 4 0 0

Structural model:
a b c (Å): 6.5382 6.5382 6.5382
angles (deg): 90.00 90.00 90.00
Space group Fd-3m (No. 227, origin choice 2)
Asymmetric unit:
Cr  0.0000  0.0000  0.0000 (multiplicity 16)
Co  0.1250  0.1250  0.6250 (multiplicity 8)